No. 1
Structure and calculated powder XRD pattern of In3Pd7Pt2 (a DFT-relaxed cell (PBE, Alexandria); Cu Kα (weighted mean of Kα1 and Kα2)).
Intensities are scaled so that the largest is 100.

Principal peaks in the range 2θ from 5° to 70°, in order of rising 2θ:
10.0 deg, 8.803 Å, rel. 1.8; 19.7 deg, 4.510 Å, rel. 1.6; 23.2 deg, 3.826 Å, rel. 1.4; 24.4 deg, 3.652 Å, rel. 2.8; 30.4 deg, 2.939 Å, rel. 1.5; 38.6 deg, 2.331 Å, rel. 100.0; 43.6 deg, 2.078 Å, rel. 35.5; 47.5 deg, 1.913 Å, rel. 13.7; 49.9 deg, 1.826 Å, rel. 0.8; 63.2 deg, 1.472 Å, rel. 5.8; 63.4 deg, 1.467 Å, rel. 5.7; 66.4 deg, 1.407 Å, rel. 19.8

Structural model:
```
In3Pd7Pt2
1.0
0.000 3.826 8.803
2.944 0.000 8.803
2.944 3.826 0.000
In Pd Pt
3 7 2
direct
0.000 0.000 0.000
0.333 0.333 0.667
0.667 0.667 0.333
0.084 0.084 0.416
0.250 0.250 0.250
0.416 0.416 0.084
0.500 0.500 0.500
0.584 0.584 0.916
0.750 0.750 0.750
0.916 0.916 0.584
0.167 0.167 0.833
0.833 0.833 0.167
```

***

No. 2
Structure and calculated powder XRD pattern of Sm3Lu (a DFT-relaxed cell (PBE, Alexandria); Cu Kα (weighted mean of Kα1 and Kα2)).
Intensities are scaled so that the largest is 100.

Principal peaks in the range 2θ from 5° to 70°, in order of rising 2θ:
28.3 deg, 3.158 Å, rel. 23.6; 28.4 deg, 3.138 Å, rel. 11.8; 31.1 deg, 2.874 Å, rel. 36.8; 32.3 deg, 2.768 Å, rel. 100.0; 32.5 deg, 2.755 Å, rel. 49.1; 42.5 deg, 2.126 Å, rel. 15.7; 50.2 deg, 1.816 Å, rel. 19.4; 56.1 deg, 1.638 Å, rel. 20.9; 56.2 deg, 1.636 Å, rel. 10.3; 60.0 deg, 1.542 Å, rel. 11.4; 60.3 deg, 1.535 Å, rel. 22.4; 60.8 deg, 1.523 Å, rel. 16.4

Structural model:
```
Sm3Lu
1.0
-1.827 5.749 3.138
1.827 -5.749 3.138
1.827 5.749 -3.138
Sm Lu
3 1
direct
0.000 0.000 0.000
0.418 0.665 0.753
0.912 0.665 0.247
0.497 0.997 0.500
```

***

No. 3
Structure and calculated powder XRD pattern of AcNd10Ho6 (a DFT-relaxed cell (PBE, Alexandria); Cu Kα (weighted mean of Kα1 and Kα2)).
Intensities are scaled so that the largest is 100.

Principal peaks in the range 2θ from 5° to 70°, in order of rising 2θ:
24.3 deg, 3.656 Å, rel. 12.0; 30.4 deg, 2.942 Å, rel. 33.7; 31.2 deg, 2.863 Å, rel. 83.0; 31.4 deg, 2.850 Å, rel. 100.0; 40.0 deg, 2.254 Å, rel. 8.9; 44.9 deg, 2.020 Å, rel. 27.8; 48.0 deg, 1.896 Å, rel. 12.6; 55.2 deg, 1.663 Å, rel. 8.8; 55.7 deg, 1.651 Å, rel. 30.1; 56.0 deg, 1.643 Å, rel. 18.9; 58.4 deg, 1.581 Å, rel. 9.0; 61.6 deg, 1.506 Å, rel. 10.1

Structural model:
```
AcNd10Ho6
1.0
9.917 0.000 0.000
-4.959 8.588 0.000
0.000 0.000 6.967
Ac Nd Ho
1 10 6
direct
0.000 0.000 0.000
0.000 0.283 0.327
0.000 0.717 0.673
0.283 0.000 0.327
0.283 0.283 0.673
0.333 0.667 0.000
0.333 0.667 0.500
0.667 0.333 0.000
0.667 0.333 0.500
0.717 0.000 0.673
0.717 0.717 0.327
0.000 0.370 0.815
0.000 0.630 0.185
0.370 0.000 0.815
0.370 0.370 0.185
0.630 0.000 0.185
0.630 0.630 0.815
```

***

No. 4
Structure and calculated powder XRD pattern of Rb2ErPa2Se6 (a DFT-relaxed cell (PBE, Alexandria); Cu Kα (weighted mean of Kα1 and Kα2)).
Intensities are scaled so that the largest is 100.

Principal peaks in the range 2θ from 5° to 70°, in order of rising 2θ:
10.7 deg, 8.283 Å, rel. 77.7; 25.0 deg, 3.557 Å, rel. 9.1; 28.7 deg, 3.114 Å, rel. 100.0; 35.5 deg, 2.527 Å, rel. 23.9; 38.1 deg, 2.362 Å, rel. 12.6; 38.4 deg, 2.346 Å, rel. 23.6; 43.5 deg, 2.082 Å, rel. 23.2; 43.7 deg, 2.070 Å, rel. 16.8; 47.6 deg, 1.910 Å, rel. 9.1; 53.1 deg, 1.724 Å, rel. 12.0; 59.4 deg, 1.557 Å, rel. 10.0; 63.5 deg, 1.464 Å, rel. 8.0

Structural model:
```
Rb2ErPa2Se6
1.0
3.612 -6.211 0.000
3.612 6.211 0.000
-2.357 0.000 8.283
Rb Er Pa Se
2 1 2 6
direct
0.167 0.833 0.000
0.833 0.167 0.000
0.000 0.000 0.500
0.336 0.664 0.500
0.664 0.336 0.500
0.063 0.396 0.693
0.264 0.264 0.304
0.396 0.063 0.693
0.604 0.937 0.307
0.736 0.736 0.696
0.937 0.604 0.307
```

***

No. 5
Structure and calculated powder XRD pattern of Cs2ZrIBr5 (a DFT-relaxed cell (PBE, Alexandria); Cu Kα (weighted mean of Kα1 and Kα2)).
Intensities are scaled so that the largest is 100.

Principal peaks in the range 2θ from 5° to 70°, in order of rising 2θ:
13.5 deg, 6.571 Å, rel. 21.4; 22.1 deg, 4.026 Å, rel. 17.9; 26.0 deg, 3.428 Å, rel. 6.4; 27.1 deg, 3.285 Å, rel. 100.0; 31.4 deg, 2.850 Å, rel. 54.1; 31.5 deg, 2.836 Å, rel. 27.3; 41.2 deg, 2.193 Å, rel. 5.8; 45.0 deg, 2.015 Å, rel. 18.9; 45.1 deg, 2.010 Å, rel. 38.3; 53.3 deg, 1.718 Å, rel. 27.1; 53.5 deg, 1.712 Å, rel. 14.3; 56.0 deg, 1.643 Å, rel. 19.3

Structural model:
```
Cs2ZrIBr5
1.0
-4.031 4.031 5.672
4.031 -4.031 5.672
4.031 4.031 -5.672
Cs Zr I Br
2 1 1 5
direct
0.000 0.500 0.500
0.500 0.000 0.500
0.248 0.248 0.000
0.504 0.504 0.000
0.014 0.014 0.000
0.019 0.019 0.535
0.019 0.484 0.000
0.484 0.019 0.000
0.484 0.484 0.465
```

***

No. 6
Structure and calculated powder XRD pattern of InAsRu2 (a DFT-relaxed cell (PBE, Alexandria); Cu Kα (weighted mean of Kα1 and Kα2)).
Intensities are scaled so that the largest is 100.

Principal peaks in the range 2θ from 5° to 70°, in order of rising 2θ:
28.1 deg, 3.178 Å, rel. 9.0; 37.8 deg, 2.379 Å, rel. 51.9; 38.3 deg, 2.349 Å, rel. 23.0; 38.6 deg, 2.335 Å, rel. 93.3; 39.9 deg, 2.261 Å, rel. 100.0; 45.3 deg, 2.000 Å, rel. 8.9; 47.0 deg, 1.935 Å, rel. 32.7; 51.2 deg, 1.784 Å, rel. 11.1; 61.8 deg, 1.501 Å, rel. 23.8; 62.3 deg, 1.490 Å, rel. 8.1; 67.2 deg, 1.393 Å, rel. 8.7; 68.5 deg, 1.369 Å, rel. 7.2

Structural model:
```
InAsRu2
1.0
3.050 0.000 0.000
0.000 3.869 0.000
-1.423 0.000 5.573
In As Ru
1 1 2
direct
0.000 0.000 0.000
0.500 0.000 0.500
0.366 0.500 0.724
0.634 0.500 0.276
```

***

No. 7
Structure and calculated powder XRD pattern of Ba2LiMg6Zn (a DFT-relaxed cell (PBE, Alexandria); Cu Kα (weighted mean of Kα1 and Kα2)).
Intensities are scaled so that the largest is 100.

Principal peaks in the range 2θ from 5° to 70°, in order of rising 2θ:
14.5 deg, 6.114 Å, rel. 21.3; 16.7 deg, 5.294 Å, rel. 25.9; 23.7 deg, 3.759 Å, rel. 27.2; 23.9 deg, 3.730 Å, rel. 100.0; 28.0 deg, 3.181 Å, rel. 25.9; 28.1 deg, 3.172 Å, rel. 28.7; 29.2 deg, 3.058 Å, rel. 31.4; 29.4 deg, 3.041 Å, rel. 31.0; 33.9 deg, 2.647 Å, rel. 53.1; 42.0 deg, 2.153 Å, rel. 24.1; 48.8 deg, 1.865 Å, rel. 28.9; 51.2 deg, 1.784 Å, rel. 21.8

Structural model:
```
Ba2LiMg6Zn
1.0
-3.728 3.759 5.257
3.728 -3.759 5.257
3.728 3.759 -5.257
Ba Li Mg Zn
2 1 6 1
direct
0.211 0.211 0.000
0.789 0.789 0.000
0.500 0.000 0.500
0.251 0.751 0.500
0.290 0.290 0.580
0.290 0.710 0.000
0.710 0.290 0.000
0.710 0.710 0.420
0.749 0.249 0.500
0.000 0.500 0.500
```

***

No. 8
Structure and calculated powder XRD pattern of Li2FeAsW (a DFT-relaxed cell (PBE, Alexandria); Cu Kα (weighted mean of Kα1 and Kα2)).
Intensities are scaled so that the largest is 100.

Principal peaks in the range 2θ from 5° to 70°, in order of rising 2θ:
18.4 deg, 4.818 Å, rel. 95.2; 26.2 deg, 3.407 Å, rel. 100.0; 26.4 deg, 3.378 Å, rel. 54.4; 37.3 deg, 2.409 Å, rel. 44.6; 38.0 deg, 2.369 Å, rel. 21.2; 41.9 deg, 2.155 Å, rel. 24.1; 42.5 deg, 2.126 Å, rel. 23.1; 46.3 deg, 1.961 Å, rel. 23.9; 46.7 deg, 1.945 Å, rel. 41.3; 54.3 deg, 1.689 Å, rel. 29.9; 57.8 deg, 1.594 Å, rel. 19.2; 60.8 deg, 1.524 Å, rel. 18.5

Structural model:
```
Li2FeAsW
1.0
4.818 0.000 0.000
0.000 4.818 0.000
0.000 0.000 4.738
Li Fe As W
2 1 1 1
direct
0.000 0.500 0.000
0.500 0.000 0.000
0.000 0.000 0.500
0.500 0.500 0.500
0.500 0.500 0.000
```

***

No. 9
Structure and calculated powder XRD pattern of CdHRh3 (a DFT-relaxed cell (PBE, Alexandria); Cu Kα (weighted mean of Kα1 and Kα2)).
Intensities are scaled so that the largest is 100.

Principal peaks in the range 2θ from 5° to 70°, in order of rising 2θ:
32.0 deg, 2.797 Å, rel. 4.7; 33.8 deg, 2.653 Å, rel. 42.8; 36.4 deg, 2.469 Å, rel. 60.1; 38.5 deg, 2.337 Å, rel. 53.3; 39.0 deg, 2.307 Å, rel. 100.0; 47.2 deg, 1.925 Å, rel. 70.8; 49.2 deg, 1.851 Å, rel. 2.7; 50.5 deg, 1.807 Å, rel. 25.1; 61.0 deg, 1.518 Å, rel. 17.7; 61.5 deg, 1.507 Å, rel. 1.9; 64.0 deg, 1.455 Å, rel. 22.4; 66.9 deg, 1.399 Å, rel. 9.7

Structural model:
```
CdHRh3
1.0
-2.653 2.653 4.938
2.653 -2.653 4.938
2.653 2.653 -4.938
Cd H Rh
2 2 6
direct
0.142 0.142 0.000
0.858 0.858 0.000
0.500 0.500 0.000
0.750 0.250 0.500
0.123 0.623 0.500
0.130 0.385 0.744
0.377 0.877 0.500
0.615 0.359 0.744
0.615 0.870 0.256
0.641 0.385 0.256
```

***

No. 10
Structure and calculated powder XRD pattern of KSm2O (a DFT-relaxed cell (PBE, Alexandria); Cu Kα (weighted mean of Kα1 and Kα2)).
Intensities are scaled so that the largest is 100.

Principal peaks in the range 2θ from 5° to 70°, in order of rising 2θ:
8.6 deg, 10.234 Å, rel. 100.0; 26.1 deg, 3.411 Å, rel. 15.4; 28.1 deg, 3.172 Å, rel. 35.1; 30.4 deg, 2.945 Å, rel. 29.7; 31.6 deg, 2.830 Å, rel. 17.4; 34.8 deg, 2.579 Å, rel. 18.3; 36.6 deg, 2.453 Å, rel. 39.3; 49.5 deg, 1.841 Å, rel. 16.4; 50.4 deg, 1.812 Å, rel. 8.5; 55.9 deg, 1.644 Å, rel. 11.2; 56.8 deg, 1.620 Å, rel. 10.6; 62.1 deg, 1.494 Å, rel. 8.3

Structural model:
```
KSm2O
1.0
1.841 1.063 10.234
-1.841 1.063 10.234
0.000 -2.126 10.234
K Sm O
1 2 1
direct
0.000 0.000 0.000
0.124 0.124 0.124
0.876 0.876 0.876
0.500 0.500 0.500
```

***

No. 11
Structure and calculated powder XRD pattern of LaVRh (a DFT-relaxed cell (PBE, Alexandria); Cu Kα (weighted mean of Kα1 and Kα2)).
Intensities are scaled so that the largest is 100.

Principal peaks in the range 2θ from 5° to 70°, in order of rising 2θ:
8.5 deg, 10.447 Å, rel. 3.1; 17.0 deg, 5.224 Å, rel. 4.2; 25.6 deg, 3.480 Å, rel. 17.7; 30.9 deg, 2.894 Å, rel. 12.4; 36.5 deg, 2.460 Å, rel. 100.0; 43.3 deg, 2.089 Å, rel. 2.7; 45.1 deg, 2.008 Å, rel. 8.0; 52.6 deg, 1.739 Å, rel. 16.8; 57.9 deg, 1.592 Å, rel. 4.1; 59.4 deg, 1.556 Å, rel. 11.5; 65.7 deg, 1.421 Å, rel. 17.0; 65.8 deg, 1.419 Å, rel. 10.5

Structural model:
```
LaVRh
1.0
2.456 -2.460 0.000
2.456 2.460 0.000
0.000 0.000 10.447
La V Rh
2 2 2
direct
0.000 0.000 0.171
0.000 0.000 0.829
0.500 0.500 0.404
0.500 0.500 0.596
0.000 0.000 0.500
0.500 0.500 0.000
```

***

No. 12
Structure and calculated powder XRD pattern of Tl2ZnHg6 (a DFT-relaxed cell (PBE, Alexandria); Cu Kα (weighted mean of Kα1 and Kα2)).
Intensities are scaled so that the largest is 100.

Principal peaks in the range 2θ from 5° to 70°, in order of rising 2θ:
28.6 deg, 3.123 Å, rel. 17.1; 30.2 deg, 2.955 Å, rel. 77.1; 31.8 deg, 2.816 Å, rel. 100.0; 32.9 deg, 2.726 Å, rel. 18.5; 33.0 deg, 2.711 Å, rel. 55.5; 33.3 deg, 2.692 Å, rel. 56.4; 35.0 deg, 2.564 Å, rel. 36.7; 36.2 deg, 2.479 Å, rel. 38.2; 41.8 deg, 2.160 Å, rel. 16.7; 51.6 deg, 1.771 Å, rel. 21.2; 57.0 deg, 1.615 Å, rel. 35.2; 61.0 deg, 1.519 Å, rel. 21.9

Structural model:
```
Tl2ZnHg6
1.0
3.541 0.000 0.000
0.000 8.429 4.143
0.000 -8.429 4.143
Tl Zn Hg
2 1 6
direct
0.000 0.149 0.851
0.000 0.851 0.149
0.500 0.488 0.488
0.000 0.270 0.542
0.000 0.542 0.270
0.000 0.758 0.758
0.500 0.149 0.149
0.500 0.484 0.911
0.500 0.911 0.484
```